Computed powder diffraction line list of CdSn3Pt12 for λ = 1.5418 Å (Cu Kα), from a GGA-PBE-relaxed structure.
Lines closer than 0.1° are merged.

Structure:
Cell lengths 4.053, 4.053, 16.219 Å; angles 90.00, 90.00, 90.00 degrees
Space group P4/mmm (No. 123)
One atom of each set of equivalent atoms:
1 Cd 0.000 0.000 0.000 x1
2 Sn 0.000 0.000 0.246 x2
3 Sn 0.000 0.000 0.500 x1
4 Pt 0.000 0.500 0.125 x4
5 Pt 0.000 0.500 0.375 x4
6 Pt 0.500 0.500 0.000 x1
7 Pt 0.500 0.500 0.252 x2
8 Pt 0.500 0.500 0.500 x1

Peak list (6 most intense, 10 to 90 degrees two-theta, in order of falling intensity)
| 2θ/deg | I_rel | (hkl) |
| --- | --- | --- |
| 38.46 | 100 | 1 1 4 |
| 44.71 | 49 | 2 0 0 |
| 78.21 | 39 | 3 1 4 |
| 65.08 | 33 | 2 2 0 |
| 82.42 | 12 | 2 2 8 |
| 21.93 | 3 | 0 0 4 |


Computed powder diffraction line list of CaBeCo for λ = 1.5418 Å (Cu Kα), from a GGA-PBE-relaxed structure.
Lines closer than 0.1° are merged.

Structure:
Cell lengths 3.061, 3.061, 9.915 Å; angles 90.00, 90.00, 90.00 degrees
Space group I4mm (No. 107)
One atom of each set of equivalent atoms:
1 Ca 0.000 0.000 0.000 x2
2 Be 0.000 0.000 0.273 x2
3 Co 0.000 0.000 0.719 x2

Peak list (6 most intense, 10 to 90 degrees two-theta, in order of falling intensity)
| 2θ/deg | I_rel | (hkl) |
| --- | --- | --- |
| 40.16 | 100 | 1 0 3 |
| 30.57 | 100 | 1 0 1 |
| 41.74 | 64 | 1 1 0 |
| 36.24 | 40 | 0 0 4 |
| 56.44 | 40 | 1 1 4 |
| 75.12 | 27 | 2 1 3 |


Computed powder diffraction line list of LaPm4ErTm2 for λ = 1.5418 Å (Cu Kα), from a GGA-PBE-relaxed structure.
Lines closer than 0.1° are merged.

Structure:
Cell lengths 11.382, 5.106, 10.226 Å; angles 90.00, 116.74, 90.00 degrees
Space group C2/m (No. 12)
One atom of each set of equivalent atoms:
1 La 0.000 0.000 0.000 x2
2 Pm 0.249 0.000 0.872 x4
3 Pm 0.249 0.500 0.623 x4
4 Er 0.000 0.000 0.500 x2
5 Tm 0.000 0.500 0.254 x4

Peak list (6 most intense, 10 to 90 degrees two-theta, in order of falling intensity)
| 2θ/deg | I_rel | (hkl) |
| --- | --- | --- |
| 30.35 | 100 | 1 1 2 |
| 35.13 | 34 | 0 2 0 |
| 60.09 | 29 | 1 3 2 |
| 50.67 | 24 | 4 2 0 |
| 35.32 | 17 | 4 0 0 |
| 60.34 | 14 | 5 1 2 |


Computed powder diffraction line list of CsBa12Sr6 for λ = 1.5418 Å (Cu Kα), from a GGA-PBE-relaxed structure.
Lines closer than 0.1° are merged.

Structure:
Cell lengths 18.1860, 18.1860, 13.5079 Å; angles 90.00, 90.00, 120.00 degrees
Space group R-3m (No. 166, hexagonal axes)
One atom of each set of equivalent atoms:
1 Cs 0.0000 0.0000 0.0000 x3
2 Ba 0.0000 0.3871 0.5000 x18
3 Ba 0.0874 0.1749 0.2735 x18
4 Sr 0.0804 0.5402 0.2294 x18

Peak list (6 most intense, 10 to 90 degrees two-theta, in order of falling intensity)
| 2θ/deg | I_rel | (hkl) |
| --- | --- | --- |
| 21.38 | 100 | 1 3 1 |
| 26.07 | 74 | 0 3 3 |
| 25.52 | 62 | 3 2 1 |
| 31.33 | 45 | 5 0 2 |
| 28.01 | 44 | 2 3 2 |
| 22.03 | 42 | 1 1 3 |


Computed powder diffraction line list of Ca2NdPt2 for λ = 1.5418 Å (Cu Kα), from a GGA-PBE-relaxed structure.
Lines closer than 0.1° are merged.

Structure:
Cell lengths 5.721, 4.439, 11.124 Å; angles 90.00, 101.64, 90.00 degrees
Space group P2_1/m (No. 11)
One atom of each set of equivalent atoms:
1 Ca 0.051 0.250 0.286 x2
2 Ca 0.288 0.750 0.040 x2
3 Nd 0.410 0.250 0.625 x2
4 Pt 0.143 0.750 0.472 x2
5 Pt 0.492 0.750 0.811 x2

Peak list (6 most intense, 10 to 90 degrees two-theta, in order of falling intensity)
| 2θ/deg | I_rel | (hkl) |
| --- | --- | --- |
| 25.89 | 100 | 0 1 2 |
| 32.22 | 91 | 1 1 2 |
| 39.37 | 84 | 1 1 -4 |
| 40.31 | 69 | 2 1 1 |
| 31.84 | 66 | 0 1 3 |
| 40.65 | 54 | 0 2 0 |


Computed powder diffraction line list of ThGa3CoRh for λ = 1.5418 Å (Cu Kα), from a GGA-PBE-relaxed structure.
Lines closer than 0.1° are merged.

Structure:
Cell lengths 7.613, 10.145, 6.037 Å; angles 90.00, 90.00, 90.00 degrees
Space group Cmcm (No. 63)
One atom of each set of equivalent atoms:
1 Th 0.000 0.247 0.250 x4
2 Ga 0.000 0.237 0.750 x4
3 Ga 0.241 0.000 0.000 x8
4 Co 0.000 0.009 0.750 x4
5 Rh 0.000 0.477 0.750 x4

Peak list (6 most intense, 10 to 90 degrees two-theta, in order of falling intensity)
| 2θ/deg | I_rel | (hkl) |
| --- | --- | --- |
| 38.05 | 100 | 2 0 2 |
| 52.93 | 71 | 2 4 2 |
| 35.39 | 57 | 0 4 0 |
| 23.37 | 48 | 2 0 0 |
| 29.33 | 41 | 2 2 0 |
| 20.72 | 41 | 1 1 1 |


What did the first record say?
Computed powder diffraction line list of CdSn3Pt12 for λ = 1.5418 Å (Cu Kα), from a GGA-PBE-relaxed structure.
Lines closer than 0.1° are merged.

Structure:
Cell lengths 4.053, 4.053, 16.219 Å; angles 90.00, 90.00, 90.00 degrees
Space group P4/mmm (No. 123)
One atom of each set of equivalent atoms:
1 Cd 0.000 0.000 0.000 x1
2 Sn 0.000 0.000 0.246 x2
3 Sn 0.000 0.000 0.500 x1
4 Pt 0.000 0.500 0.125 x4
5 Pt 0.000 0.500 0.375 x4
6 Pt 0.500 0.500 0.000 x1
7 Pt 0.500 0.500 0.252 x2
8 Pt 0.500 0.500 0.500 x1

Peak list (6 most intense, 10 to 90 degrees two-theta, in order of falling intensity)
| 2θ/deg | I_rel | (hkl) |
| --- | --- | --- |
| 38.46 | 100 | 1 1 4 |
| 44.71 | 49 | 2 0 0 |
| 78.21 | 39 | 3 1 4 |
| 65.08 | 33 | 2 2 0 |
| 82.42 | 12 | 2 2 8 |
| 21.93 | 3 | 0 0 4 |